No. 1
Starting from a cell relaxed with GGA-PBE, the PXRD pattern of Cs3TiSe3 was computed for Cu Kα (λ = 1.5418 Å).
Intensities are scaled so that the largest is 1000.

Largest 10 diffraction maxima, sorted by position, 2θ from 5° to 70°:
| h k l | d [Å] | 2theta | I (rel.) |
| --- | --- | --- | --- |
| 1 3 -2 | 3.656 | 24.3 | 339 |
| 2 1 -3 | 3.493 | 25.5 | 436 |
| 2 1 0 | 3.377 | 26.4 | 939 |
| 1 4 -1 | 3.312 | 26.9 | 865 |
| 1 2 -3 | 3.282 | 27.2 | 381 |
| 1 3 1 | 3.222 | 27.7 | 1000 |
| 3 1 -3 | 2.808 | 31.9 | 432 |
| 1 2 2 | 2.790 | 32.1 | 226 |
| 0 2 3 | 2.768 | 32.3 | 246 |
| 1 5 -4 | 1.955 | 46.4 | 179 |

Cell lengths 8.760, 14.359, 11.344 Å; angles 90.00, 127.51, 90.00 degrees
Positions (direct):
Cs  0.103  0.143  0.483
Cs  0.103  0.357  0.983
Cs  0.142  0.066  0.891
Cs  0.142  0.434  0.391
Cs  0.371  0.695  0.584
Cs  0.371  0.805  0.084
Cs  0.629  0.195  0.916
Cs  0.629  0.305  0.416
Cs  0.858  0.566  0.609
Cs  0.858  0.934  0.109
Cs  0.897  0.643  0.017
Cs  0.897  0.857  0.517
Ti  0.443  0.050  0.359
Ti  0.443  0.450  0.859
Ti  0.557  0.550  0.141
Ti  0.557  0.950  0.641
Se  0.158  0.150  0.201
Se  0.158  0.350  0.701
Se  0.358  0.611  0.882
Se  0.358  0.889  0.382
Se  0.379  0.543  0.244
Se  0.379  0.957  0.744
Se  0.621  0.043  0.256
Se  0.621  0.457  0.756
Se  0.642  0.111  0.618
Se  0.642  0.389  0.118
Se  0.842  0.650  0.299
Se  0.842  0.850  0.799



No. 2
Starting from a cell relaxed with GGA-PBE, the PXRD pattern of CsTiSe2 was computed for Cu Kα (λ = 1.5418 Å).
Intensities are scaled so that the largest is 1000.

Largest 10 diffraction maxima, sorted by position, 2θ from 5° to 70°:
| h k l | d [Å] | 2theta | I (rel.) |
| --- | --- | --- | --- |
| 0 2 -1 | 3.752 | 23.7 | 404 |
| 1 0 1 | 3.695 | 24.1 | 671 |
| 1 0 -2 | 3.299 | 27.0 | 1000 |
| 0 2 -2 | 3.272 | 27.3 | 244 |
| 2 0 -1 | 2.999 | 29.8 | 251 |
| 1 2 -1 | 2.887 | 31.0 | 323 |
| 1 2 -2 | 2.836 | 31.5 | 172 |
| 2 -2 1 | 2.516 | 35.7 | 313 |
| 0 0 3 | 2.137 | 42.3 | 183 |
| 3 -1 1 | 1.825 | 50.0 | 174 |

Cell lengths 6.161, 7.656, 7.656 Å; angles 117.46, 101.44, 101.29 degrees
Positions (direct):
Cs  0.249  0.148  0.352
Cs  0.751  0.852  0.648
Ti  0.250  0.503  0.997
Ti  0.750  0.497  0.003
Se  0.100  0.588  0.292
Se  0.402  0.209  0.913
Se  0.598  0.791  0.087
Se  0.900  0.412  0.708



No. 3
Starting from a cell relaxed with GGA-PBE, the PXRD pattern of CsTiSe2 was computed for Cu Kα (λ = 1.5418 Å).
Intensities are scaled so that the largest is 1000.

Largest 10 diffraction maxima, sorted by position, 2θ from 5° to 70°:
| h k l | d [Å] | 2theta | I (rel.) |
| --- | --- | --- | --- |
| 1 0 0 | 8.014 | 11.0 | 871 |
| 1 1 0 | 4.873 | 18.2 | 174 |
| 1 1 1 | 4.164 | 21.3 | 152 |
| 0 0 2 | 4.007 | 22.2 | 200 |
| 0 1 2 | 3.355 | 26.6 | 170 |
| 1 1 2 | 3.095 | 28.8 | 1000 |
| 1 2 1 | 2.699 | 33.2 | 180 |
| 3 0 1 | 2.534 | 35.4 | 160 |
| 3 2 1 | 1.954 | 46.5 | 314 |
| 2 3 -1 | 1.777 | 51.4 | 194 |

Cell lengths 8.014, 6.139, 8.015 Å; angles 90.00, 90.14, 90.00 degrees
Positions (direct):
Cs  0.000  0.000  0.000
Cs  0.500  0.500  0.500
Ti  0.000  0.250  0.500
Ti  0.000  0.750  0.500
Se  0.087  0.500  0.726
Se  0.226  0.000  0.414
Se  0.774  0.000  0.586
Se  0.913  0.500  0.274